1.
Computed powder X-ray diffraction pattern
Compound: BaEuDySbO6
Radiation: Cu Kα
Structure: a crystal structure in the Materials Project, relaxed with PBE
Kinematic intensities with the Lorentz-polarization factor, no thermal factor.

Most intense lines, 10° ≤ 2θ ≤ 80°, in order of rising 2θ:
2θ (°)  d [Å]  I_rel
18.18  4.881  9
21.02  4.227  5
29.89  2.989  1000
35.21  2.549  10
36.83  2.440  14
42.79  2.113  287
46.84  1.939  7
53.07  1.726  405
62.11  1.494  180
70.44  1.337  179
78.36  1.220  60

Crystal structure
```
data_BaEuDySbO6
_space_group_name_H-M_alt 'P 1'
_space_group_IT_number 1
_cell_length_a 5.978
_cell_length_b 5.978
_cell_length_c 5.978
_cell_angle_alpha 60.00
_cell_angle_beta 60.00
_cell_angle_gamma 60.00
loop_
_space_group_symop_operation_xyz
'x,y,z'
loop_
_atom_site_label
_atom_site_fract_x
_atom_site_fract_y
_atom_site_fract_z
Ba1 0.000 0.000 0.000
Eu1 0.500 0.500 0.500
Dy1 0.250 0.250 0.250
Sb1 0.750 0.750 0.750
O1 0.513 0.513 0.987
O2 0.513 0.987 0.513
O3 0.513 0.987 0.987
O4 0.987 0.513 0.513
O5 0.987 0.513 0.987
O6 0.987 0.987 0.513
```

2.
Computed powder X-ray diffraction pattern
Compound: BaEuDySbO6
Radiation: Cu Kα
Structure: a crystal structure in the Materials Project, relaxed with PBE
Kinematic intensities with the Lorentz-polarization factor, no thermal factor.

Most intense lines, 10° ≤ 2θ ≤ 80°, in order of rising 2θ:
2θ (°)  d [Å]  I_rel
29.97  2.982  1000
36.92  2.435  11
42.84  2.111  184
43.01  2.103  90
53.17  1.723  282
53.28  1.719  140
62.19  1.493  56
62.32  1.490  111
70.54  1.335  89
70.61  1.334  31
70.81  1.331  60
78.59  1.217  55

Crystal structure
```
data_BaEuDySbO6
_space_group_name_H-M_alt 'P 1'
_space_group_IT_number 1
_cell_length_a 8.412
_cell_length_b 8.439
_cell_length_c 8.449
_cell_angle_alpha 90.00
_cell_angle_beta 90.00
_cell_angle_gamma 90.00
loop_
_space_group_symop_operation_xyz
'x,y,z'
loop_
_atom_site_label
_atom_site_fract_x
_atom_site_fract_y
_atom_site_fract_z
Ba1 0.250 0.250 0.250
Ba2 0.250 0.750 0.750
Ba3 0.750 0.250 0.250
Ba4 0.750 0.750 0.750
Eu1 0.250 0.250 0.750
Eu2 0.250 0.750 0.250
Eu3 0.750 0.250 0.750
Eu4 0.750 0.750 0.250
Dy1 0.000 0.000 0.000
Dy2 0.000 0.500 0.500
Dy3 0.500 0.000 0.500
Dy4 0.500 0.500 0.000
Sb1 0.000 0.000 0.500
Sb2 0.000 0.500 0.000
Sb3 0.500 0.000 0.000
Sb4 0.500 0.500 0.500
O1 0.022 0.019 0.263
O2 0.022 0.481 0.237
O3 0.033 0.736 0.024
O4 0.033 0.764 0.476
O5 0.236 0.033 0.528
O6 0.236 0.467 0.972
O7 0.264 0.033 0.972
O8 0.264 0.467 0.528
O9 0.467 0.736 0.476
O10 0.467 0.764 0.024
O11 0.478 0.019 0.237
O12 0.478 0.481 0.263
O13 0.522 0.519 0.737
O14 0.522 0.981 0.763
O15 0.533 0.236 0.976
O16 0.533 0.264 0.524
O17 0.736 0.533 0.472
O18 0.736 0.967 0.028
O19 0.764 0.533 0.028
O20 0.764 0.967 0.472
O21 0.967 0.236 0.524
O22 0.967 0.264 0.976
O23 0.978 0.519 0.763
O24 0.978 0.981 0.737
```

3.
Computed powder X-ray diffraction pattern
Compound: Ba6Dy2Ga4O15
Radiation: Cu Kα
Structure: a crystal structure in the Materials Project, relaxed with PBE
Kinematic intensities with the Lorentz-polarization factor, no thermal factor.

Most intense lines, 10° ≤ 2θ ≤ 80°, in order of rising 2θ:
2θ (°)  d [Å]  I_rel
28.74  3.106  478
29.60  3.018  514
30.08  2.971  946
30.57  2.924  1000
41.73  2.165  441
45.08  2.011  212
51.45  1.776  157
52.40  1.746  140
52.82  1.733  162
53.12  1.724  184
54.88  1.673  231
62.54  1.485  137

Crystal structure
```
data_Ba6Dy2Ga4O15
_space_group_name_H-M_alt 'P 1'
_space_group_IT_number 1
_cell_length_a 8.047
_cell_length_b 6.036
_cell_length_c 18.640
_cell_angle_alpha 90.00
_cell_angle_beta 91.31
_cell_angle_gamma 90.00
loop_
_space_group_symop_operation_xyz
'x,y,z'
loop_
_atom_site_label
_atom_site_fract_x
_atom_site_fract_y
_atom_site_fract_z
Ba1 0.000 0.167 0.250
Ba2 0.000 0.833 0.750
Ba3 0.001 0.256 0.579
Ba4 0.001 0.744 0.079
Ba5 0.472 0.246 0.910
Ba6 0.472 0.754 0.410
Ba7 0.500 0.224 0.250
Ba8 0.500 0.776 0.750
Ba9 0.528 0.246 0.590
Ba10 0.528 0.754 0.090
Ba11 0.999 0.256 0.921
Ba12 0.999 0.744 0.421
Dy1 0.253 0.247 0.090
Dy2 0.253 0.753 0.590
Dy3 0.747 0.247 0.410
Dy4 0.747 0.753 0.910
Ga1 0.255 0.248 0.441
Ga2 0.255 0.752 0.941
Ga3 0.270 0.274 0.734
Ga4 0.270 0.726 0.234
Ga5 0.730 0.274 0.766
Ga6 0.730 0.726 0.266
Ga7 0.745 0.248 0.059
Ga8 0.745 0.752 0.559
O1 0.033 0.256 0.409
O2 0.033 0.744 0.909
O3 0.189 0.171 0.818
O4 0.189 0.829 0.318
O5 0.224 0.456 0.190
O6 0.224 0.544 0.690
O7 0.250 0.049 0.664
O8 0.250 0.951 0.164
O9 0.266 0.490 0.507
O10 0.266 0.510 0.007
O11 0.267 0.008 0.999
O12 0.267 0.992 0.499
O13 0.454 0.264 0.391
O14 0.454 0.736 0.891
O15 0.500 0.298 0.750
O16 0.500 0.702 0.250
O17 0.546 0.264 0.109
O18 0.546 0.736 0.609
O19 0.733 0.008 0.501
O20 0.733 0.992 0.001
O21 0.734 0.490 0.993
O22 0.734 0.510 0.493
O23 0.750 0.049 0.836
O24 0.750 0.951 0.336
O25 0.776 0.456 0.310
O26 0.776 0.544 0.810
O27 0.811 0.171 0.682
O28 0.811 0.829 0.182
O29 0.967 0.256 0.091
O30 0.967 0.744 0.591
```

4.
Computed powder X-ray diffraction pattern
Compound: Ba2DyGaSe5
Radiation: Cu Kα
Structure: a crystal structure in the Materials Project, relaxed with PBE
Kinematic intensities with the Lorentz-polarization factor, no thermal factor.

Most intense lines, 10° ≤ 2θ ≤ 80°, in order of rising 2θ:
2θ (°)  d [Å]  I_rel
19.06  4.657  236
27.80  3.209  1000
29.12  3.067  695
30.02  2.976  459
30.16  2.963  457
30.50  2.931  396
31.50  2.840  231
33.79  2.652  274
34.87  2.573  262
35.05  2.560  258
40.78  2.213  230
41.09  2.197  607

Crystal structure
```
data_Ba2DyGaSe5
_space_group_name_H-M_alt 'P 1'
_space_group_IT_number 1
_cell_length_a 7.404
_cell_length_b 8.786
_cell_length_c 9.543
_cell_angle_alpha 103.52
_cell_angle_beta 103.10
_cell_angle_gamma 107.39
loop_
_space_group_symop_operation_xyz
'x,y,z'
loop_
_atom_site_label
_atom_site_fract_x
_atom_site_fract_y
_atom_site_fract_z
Ba1 0.134 0.478 0.289
Ba2 0.156 0.989 0.293
Ba3 0.844 0.011 0.707
Ba4 0.866 0.522 0.711
Dy1 0.498 0.230 0.998
Dy2 0.502 0.770 0.002
Ga1 0.305 0.372 0.688
Ga2 0.695 0.628 0.312
Se1 0.012 0.759 0.508
Se2 0.206 0.911 0.945
Se3 0.213 0.409 0.927
Se4 0.484 0.654 0.688
Se5 0.488 0.183 0.685
Se6 0.512 0.817 0.315
Se7 0.516 0.346 0.312
Se8 0.787 0.591 0.073
Se9 0.794 0.089 0.055
Se10 0.988 0.241 0.492
```

5.
Computed powder X-ray diffraction pattern
Compound: Ba2DyGaTe5
Radiation: Cu Kα
Structure: a crystal structure in the Materials Project, relaxed with PBE
Kinematic intensities with the Lorentz-polarization factor, no thermal factor.

Most intense lines, 10° ≤ 2θ ≤ 80°, in order of rising 2θ:
2θ (°)  d [Å]  I_rel
25.56  3.486  87
26.76  3.332  137
26.94  3.310  472
27.53  3.240  1000
29.49  3.029  108
32.08  2.790  375
37.43  2.403  110
38.81  2.321  164
39.90  2.259  249
44.83  2.022  230
48.80  1.866  186
67.62  1.386  117

Crystal structure
```
data_Ba2DyGaTe5
_space_group_name_H-M_alt 'P 1'
_space_group_IT_number 1
_cell_length_a 10.453
_cell_length_b 10.453
_cell_length_c 14.318
_cell_angle_alpha 90.00
_cell_angle_beta 90.00
_cell_angle_gamma 155.03
loop_
_space_group_symop_operation_xyz
'x,y,z'
loop_
_atom_site_label
_atom_site_fract_x
_atom_site_fract_y
_atom_site_fract_z
Ba1 0.121 0.879 0.500
Ba2 0.127 0.873 0.862
Ba3 0.873 0.127 0.362
Ba4 0.879 0.121 0.000
Dy1 0.205 0.795 0.162
Dy2 0.795 0.205 0.662
Ga1 0.441 0.559 0.759
Ga2 0.559 0.441 0.259
Te1 0.045 0.955 0.151
Te2 0.296 0.704 0.518
Te3 0.313 0.687 0.816
Te4 0.352 0.648 0.179
Te5 0.498 0.502 0.419
Te6 0.502 0.498 0.919
Te7 0.648 0.352 0.679
Te8 0.687 0.313 0.316
Te9 0.704 0.296 0.018
Te10 0.955 0.045 0.651
```

6.
Computed powder X-ray diffraction pattern
Compound: Ba2DyInTe5
Radiation: Cu Kα
Structure: a crystal structure in the Materials Project, relaxed with PBE
Kinematic intensities with the Lorentz-polarization factor, no thermal factor.

Most intense lines, 10° ≤ 2θ ≤ 80°, in order of rising 2θ:
2θ (°)  d [Å]  I_rel
23.38  3.804  147
26.47  3.368  128
26.82  3.324  563
27.23  3.275  1000
29.21  3.058  114
31.81  2.813  447
34.79  2.579  121
38.54  2.336  227
39.25  2.295  316
44.50  2.036  249
48.19  1.888  247
64.03  1.454  141

Crystal structure
```
data_Ba2DyInTe5
_space_group_name_H-M_alt 'P 1'
_space_group_IT_number 1
_cell_length_a 10.502
_cell_length_b 10.502
_cell_length_c 14.399
_cell_angle_alpha 90.00
_cell_angle_beta 90.00
_cell_angle_gamma 154.75
loop_
_space_group_symop_operation_xyz
'x,y,z'
loop_
_atom_site_label
_atom_site_fract_x
_atom_site_fract_y
_atom_site_fract_z
Ba1 0.119 0.881 0.500
Ba2 0.130 0.870 0.134
Ba3 0.870 0.130 0.634
Ba4 0.881 0.119 0.000
Dy1 0.210 0.790 0.836
Dy2 0.790 0.210 0.336
In1 0.444 0.556 0.252
In2 0.556 0.444 0.752
Te1 0.050 0.950 0.869
Te2 0.292 0.708 0.479
Te3 0.310 0.690 0.184
Te4 0.356 0.644 0.819
Te5 0.496 0.504 0.580
Te6 0.504 0.496 0.080
Te7 0.644 0.356 0.319
Te8 0.690 0.310 0.684
Te9 0.708 0.292 0.979
Te10 0.950 0.050 0.369
```

7.
Computed powder X-ray diffraction pattern
Compound: Ba2DyMgNbO6
Radiation: Cu Kα
Structure: a crystal structure in the Materials Project, relaxed with PBE
Kinematic intensities with the Lorentz-polarization factor, no thermal factor.

Most intense lines, 10° ≤ 2θ ≤ 80°, in order of rising 2θ:
2θ (°)  d [Å]  I_rel
17.90  4.954  130
26.52  3.362  569
30.00  2.979  1000
30.60  2.922  508
40.46  2.229  347
43.13  2.098  164
43.38  2.086  223
51.18  1.785  188
53.26  1.720  201
53.64  1.709  201
55.97  1.643  177
62.34  1.489  181

Crystal structure
```
data_Ba2DyMgNbO6
_space_group_name_H-M_alt 'P 1'
_space_group_IT_number 1
_cell_length_a 6.836
_cell_length_b 6.836
_cell_length_c 6.836
_cell_angle_alpha 51.67
_cell_angle_beta 51.67
_cell_angle_gamma 51.67
loop_
_space_group_symop_operation_xyz
'x,y,z'
loop_
_atom_site_label
_atom_site_fract_x
_atom_site_fract_y
_atom_site_fract_z
Ba1 0.000 0.000 0.000
Ba2 0.424 0.424 0.424
Dy1 0.220 0.220 0.220
Mg1 0.594 0.594 0.594
Nb1 0.746 0.746 0.746
O1 0.476 0.967 0.967
O2 0.498 0.498 0.973
O3 0.498 0.973 0.498
O4 0.967 0.476 0.967
O5 0.967 0.967 0.476
O6 0.973 0.498 0.498
```

8.
Computed powder X-ray diffraction pattern
Compound: Ba2DyMgNbO6
Radiation: Cu Kα
Structure: a crystal structure in the Materials Project, relaxed with PBE
Kinematic intensities with the Lorentz-polarization factor, no thermal factor.

Most intense lines, 10° ≤ 2θ ≤ 80°, in order of rising 2θ:
2θ (°)  d [Å]  I_rel
17.61  5.037  154
28.16  3.169  1000
28.34  3.149  438
29.77  3.001  389
32.28  2.773  288
41.57  2.172  481
44.32  2.044  127
44.49  2.037  223
50.07  1.822  211
51.86  1.763  190
58.23  1.585  115
59.92  1.544  112

Crystal structure
```
data_Ba2DyMgNbO6
_space_group_name_H-M_alt 'P 1'
_space_group_IT_number 1
_cell_length_a 6.355
_cell_length_b 6.355
_cell_length_c 6.355
_cell_angle_alpha 123.64
_cell_angle_beta 120.59
_cell_angle_gamma 86.39
loop_
_space_group_symop_operation_xyz
'x,y,z'
loop_
_atom_site_label
_atom_site_fract_x
_atom_site_fract_y
_atom_site_fract_z
Ba1 0.188 0.188 0.000
Ba2 0.812 0.812 0.000
Dy1 0.500 0.000 0.500
Mg1 0.500 0.500 0.000
Nb1 0.000 0.500 0.500
O1 0.233 0.733 0.500
O2 0.261 0.271 0.532
O3 0.261 0.729 0.990
O4 0.739 0.271 0.010
O5 0.739 0.729 0.468
O6 0.767 0.267 0.500
```

9.
Computed powder X-ray diffraction pattern
Compound: Ba2DyMgNbO6
Radiation: Cu Kα
Structure: a crystal structure in the Materials Project, relaxed with PBE
Kinematic intensities with the Lorentz-polarization factor, no thermal factor.

Most intense lines, 10° ≤ 2θ ≤ 80°, in order of rising 2θ:
2θ (°)  d [Å]  I_rel
19.94  4.452  230
26.94  3.310  495
29.70  3.008  1000
31.25  2.862  393
40.52  2.226  304
43.65  2.074  257
43.71  2.071  285
51.04  1.789  169
52.70  1.737  202
53.67  1.708  119
57.25  1.609  138
61.67  1.504  183

Crystal structure
```
data_Ba2DyMgNbO6
_space_group_name_H-M_alt 'P 1'
_space_group_IT_number 1
_cell_length_a 6.019
_cell_length_b 6.019
_cell_length_c 6.692
_cell_angle_alpha 116.80
_cell_angle_beta 116.80
_cell_angle_gamma 59.93
loop_
_space_group_symop_operation_xyz
'x,y,z'
loop_
_atom_site_label
_atom_site_fract_x
_atom_site_fract_y
_atom_site_fract_z
Ba1 0.000 0.000 0.000
Ba2 0.540 0.540 0.620
Dy1 0.207 0.207 0.621
Mg1 0.369 0.369 0.105
Nb1 0.733 0.733 0.201
O1 0.473 0.960 0.395
O2 0.478 0.478 0.942
O3 0.478 0.986 0.943
O4 0.960 0.473 0.395
O5 0.960 0.960 0.396
O6 0.986 0.478 0.943
```

10.
Computed powder X-ray diffraction pattern
Compound: Ba2DyNbO6
Radiation: Cu Kα
Structure: a crystal structure in the Materials Project, relaxed with PBE
Kinematic intensities with the Lorentz-polarization factor, no thermal factor.

Most intense lines, 10° ≤ 2θ ≤ 80°, in order of rising 2θ:
2θ (°)  d [Å]  I_rel
17.95  4.942  26
29.52  3.026  1000
34.76  2.581  25
36.36  2.471  16
42.24  2.140  292
46.23  1.964  15
52.37  1.747  413
55.81  1.647  7
61.26  1.513  181
64.40  1.447  7
69.45  1.353  180
77.22  1.235  59

Crystal structure
```
data_Ba2DyNbO6
_space_group_name_H-M_alt 'P 1'
_space_group_IT_number 1
_cell_length_a 8.559
_cell_length_b 8.559
_cell_length_c 8.559
_cell_angle_alpha 90.00
_cell_angle_beta 90.00
_cell_angle_gamma 90.00
loop_
_space_group_symop_operation_xyz
'x,y,z'
loop_
_atom_site_label
_atom_site_fract_x
_atom_site_fract_y
_atom_site_fract_z
Ba1 0.250 0.250 0.250
Ba2 0.250 0.250 0.750
Ba3 0.250 0.750 0.250
Ba4 0.250 0.750 0.750
Ba5 0.750 0.250 0.250
Ba6 0.750 0.250 0.750
Ba7 0.750 0.750 0.250
Ba8 0.750 0.750 0.750
Dy1 0.000 0.000 0.000
Dy2 0.000 0.500 0.500
Dy3 0.500 0.000 0.500
Dy4 0.500 0.500 0.000
Nb1 0.000 0.000 0.500
Nb2 0.000 0.500 0.000
Nb3 0.500 0.000 0.000
Nb4 0.500 0.500 0.500
O1 0.016 0.518 0.763
O2 0.016 0.982 0.737
O3 0.018 0.237 0.516
O4 0.018 0.263 0.984
O5 0.237 0.516 0.018
O6 0.237 0.984 0.482
O7 0.263 0.516 0.482
O8 0.263 0.984 0.018
O9 0.482 0.237 0.984
O10 0.482 0.263 0.516
O11 0.484 0.518 0.737
O12 0.484 0.982 0.763
O13 0.516 0.018 0.237
O14 0.516 0.482 0.263
O15 0.518 0.737 0.484
O16 0.518 0.763 0.016
O17 0.737 0.016 0.982
O18 0.737 0.484 0.518
O19 0.763 0.016 0.518
O20 0.763 0.484 0.982
O21 0.982 0.737 0.016
O22 0.982 0.763 0.484
O23 0.984 0.018 0.263
O24 0.984 0.482 0.237
```